Starting from a crystal structure in Alexandria, relaxed with PBE, the X-ray powder pattern of Th2PaRh3 was calculated for Cu Ka.
Lines closer than 0.1° are merged.

Peak list (12 most intense, 2θ from 10° to 90°, most intense first)
Position (°2θ)  intensity
31.10  100
44.53  62
73.65  22
55.23  13
55.45  13
81.95  13
44.72  12
26.80  12
26.90  12
52.75  9
82.31  8
64.89  8

Structure:
```
data_Th2PaRh3
_symmetry_space_group_name_H-M 'P 1'
_symmetry_Int_Tables_number 1
_cell_length_a 13.453
_cell_length_b 12.824
_cell_length_c 7.053
_cell_angle_alpha 79.42
_cell_angle_beta 69.56
_cell_angle_gamma 31.02
loop_
_symmetry_equiv_pos_as_xyz
'x,y,z'
loop_
_atom_site_label
_atom_site_type_symbol
_atom_site_fract_x
_atom_site_fract_y
_atom_site_fract_z
Th1 Th 0.042 0.042 0.208
Th2 Th 0.125 0.125 0.625
Th3 Th 0.208 0.208 0.042
Th4 Th 0.375 0.375 0.875
Th5 Th 0.625 0.625 0.125
Th6 Th 0.792 0.792 0.958
Th7 Th 0.875 0.875 0.375
Th8 Th 0.958 0.958 0.792
Pa1 Pa 0.292 0.292 0.458
Pa2 Pa 0.458 0.458 0.292
Pa3 Pa 0.542 0.542 0.708
Pa4 Pa 0.708 0.708 0.542
Rh1 Rh 0.040 0.538 0.224
Rh2 Rh 0.137 0.613 0.613
Rh3 Rh 0.224 0.698 0.040
Rh4 Rh 0.302 0.776 0.462
Rh5 Rh 0.387 0.863 0.863
Rh6 Rh 0.462 0.960 0.302
Rh7 Rh 0.538 0.040 0.698
Rh8 Rh 0.613 0.137 0.137
Rh9 Rh 0.698 0.224 0.538
Rh10 Rh 0.776 0.302 0.960
Rh11 Rh 0.863 0.387 0.387
Rh12 Rh 0.960 0.462 0.776
```